# K6NbAs3O
Simulated PXRD pattern, Cu Ka. Input: a structure optimized by DFT (GGA-PBE).
No peak broadening, texture or thermal motion is included.

Principal peaks in the range 10 to 80 degrees two-theta, low angle first:
- 2θ 11.27, 7.849 Å, rel. 15
- 2θ 13.82, 6.409 Å, rel. 39
- 2θ 17.87, 4.964 Å, rel. 16
- 2θ 19.59, 4.532 Å, rel. 27
- 2θ 29.00, 3.079 Å, rel. 36
- 2θ 30.12, 2.967 Å, rel. 100
- 2θ 33.28, 2.692 Å, rel. 30
- 2θ 36.19, 2.482 Å, rel. 25
- 2θ 47.03, 1.932 Å, rel. 17
- 2θ 52.81, 1.734 Å, rel. 18

```
K6NbAs3O
1.0
11.100 0.000 0.000
0.000 11.100 0.000
0.000 0.000 11.100
K Nb As O
24 4 12 4
direct
0.035 0.286 0.866
0.134 0.535 0.214
0.137 0.637 0.863
0.153 0.153 0.153
0.181 0.819 0.319
0.214 0.134 0.535
0.286 0.866 0.035
0.319 0.181 0.819
0.347 0.847 0.653
0.363 0.363 0.363
0.366 0.465 0.714
0.465 0.714 0.366
0.535 0.214 0.134
0.634 0.965 0.786
0.637 0.863 0.137
0.653 0.347 0.847
0.681 0.681 0.681
0.714 0.366 0.465
0.786 0.634 0.965
0.819 0.319 0.181
0.847 0.653 0.347
0.863 0.137 0.637
0.866 0.035 0.286
0.965 0.786 0.634
0.071 0.429 0.571
0.429 0.571 0.071
0.571 0.071 0.429
0.929 0.929 0.929
0.020 0.305 0.386
0.114 0.980 0.805
0.195 0.614 0.520
0.305 0.386 0.020
0.386 0.020 0.305
0.480 0.695 0.886
0.520 0.195 0.614
0.614 0.520 0.195
0.695 0.886 0.480
0.805 0.114 0.980
0.886 0.480 0.695
0.980 0.805 0.114
0.167 0.333 0.667
0.333 0.667 0.167
0.667 0.167 0.333
0.833 0.833 0.833
```



# HoGa6Fe6
Simulated PXRD pattern, Cu Ka. Input: a structure optimized by DFT (GGA-PBE).
No peak broadening, texture or thermal motion is included.

Principal peaks in the range 10 to 80 degrees two-theta, low angle first:
- 2θ 35.09, 2.557 Å, rel. 40
- 2θ 35.74, 2.512 Å, rel. 74
- 2θ 41.00, 2.201 Å, rel. 58
- 2θ 41.76, 2.163 Å, rel. 30
- 2θ 42.27, 2.138 Å, rel. 54
- 2θ 42.83, 2.112 Å, rel. 100
- 2θ 44.35, 2.042 Å, rel. 48
- 2θ 46.60, 1.949 Å, rel. 38
- 2θ 47.43, 1.917 Å, rel. 45
- 2θ 75.75, 1.256 Å, rel. 39

```
HoGa6Fe6
1.0
-2.557 3.898 4.326
2.557 -3.898 4.326
2.557 3.898 -4.326
Ho Ga Fe
1 6 6
direct
0.000 0.000 0.000
0.182 0.682 0.500
0.342 0.000 0.342
0.344 0.344 0.000
0.656 0.656 0.000
0.658 0.000 0.658
0.818 0.318 0.500
0.000 0.000 0.500
0.000 0.500 0.000
0.240 0.500 0.740
0.500 0.000 0.000
0.500 0.500 0.500
0.760 0.500 0.260
```



# ErLuIn4
Simulated PXRD pattern, Cu Ka. Input: a structure optimized by DFT (GGA-PBE).
No peak broadening, texture or thermal motion is included.

Principal peaks in the range 10 to 80 degrees two-theta, low angle first:
- 2θ 33.55, 2.671 Å, rel. 100
- 2θ 38.41, 2.344 Å, rel. 16
- 2θ 39.04, 2.307 Å, rel. 17
- 2θ 39.33, 2.291 Å, rel. 17
- 2θ 55.93, 1.644 Å, rel. 11
- 2θ 56.62, 1.626 Å, rel. 11
- 2θ 66.38, 1.408 Å, rel. 11
- 2θ 67.24, 1.392 Å, rel. 13
- 2θ 67.64, 1.385 Å, rel. 13
- 2θ 70.50, 1.336 Å, rel. 11

```
ErLuIn4
1.0
4.615 0.000 0.000
0.000 2.291 7.031
0.000 -2.291 7.031
Er Lu In
1 1 4
direct
0.000 0.000 0.000
0.000 0.689 0.689
0.000 0.344 0.344
0.500 0.169 0.169
0.500 0.520 0.520
0.500 0.843 0.843
```